Computed powder X-ray diffraction pattern of CdC2O4 for Cu Kα, from a cell relaxed with GGA-PBE.

Peak list (8 most intense, 10 to 90 degrees two-theta, in order of falling intensity)
- 22.89 deg, intensity 1000, hkl 0 1 1
- 23.08 deg, intensity 352, hkl 1 1 -1
- 17.91 deg, intensity 226, hkl 1 0 0
- 34.74 deg, intensity 222, hkl 2 1 -1
- 37.62 deg, intensity 218, hkl 1 2 0
- 34.34 deg, intensity 204, hkl 1 1 1
- 47.17 deg, intensity 134, hkl 2 2 -2
- 53.04 deg, intensity 133, hkl 1 3 -1

Crystal structure
a b c (Å): 5.8997 5.4593 6.5865
angles (deg): 90.00 122.89 90.00
Fractional coordinates of all 14 atoms:
Cd: 0.0000 0.0000 0.0000
Cd: 0.0000 0.5000 0.5000
C: 0.4530 0.1134 0.9134
C: 0.4530 0.3866 0.4134
C: 0.5470 0.6134 0.5866
C: 0.5470 0.8866 0.0866
O: 0.2106 0.1870 0.8201
O: 0.2106 0.3130 0.3201
O: 0.3800 0.7122 0.6245
O: 0.3800 0.7878 0.1245
O: 0.6200 0.2122 0.8755
O: 0.6200 0.2878 0.3755
O: 0.7894 0.6870 0.6799
O: 0.7894 0.8130 0.1799